For Rb2TePbO6, a PBE-relaxed structure gives the simulated powder X-ray diffraction pattern in this record (a wavelength of 1.5418 Å).

Most intense lines, 2θ = 10–90°, low angle first:
| d/Å | I/Imax | hkl |
| --- | --- | --- |
| 4.231 | 19 | 0 1 2 |
| 2.992 | 100 | 1 1 0 |
| 2.551 | 4 | 2 -1 3 |
| 2.115 | 30 | 0 2 4 |
| 1.892 | 9 | 1 2 2 |
| 1.727 | 41 | 3 0 0 |
| 1.496 | 19 | 2 2 0 |
| 1.338 | 18 | 1 3 4 |
| 1.221 | 6 | 4 0 4 |
| 1.131 | 22 | 4 1 0 |

Cell and atoms:
```
data_Rb2TePbO6
_chemical_formula_sum 'Rb6 Te3 Pb3 O18'
_space_group_name_H-M_alt 'R -3'
_space_group_IT_number 148
_space_group_name_Hall '-R 3'
_cell_length_a 5.9832
_cell_length_b 5.9832
_cell_length_c 14.6552
_cell_angle_alpha 90.00
_cell_angle_beta 90.00
_cell_angle_gamma 120.00
loop_
_atom_site_label
_atom_site_type_symbol
_atom_site_fract_x
_atom_site_fract_y
_atom_site_fract_z
_atom_site_occupancy
Rb1 Rb 0.0000 0.0000 0.2500 1
Te1 Te 0.0000 0.0000 0.0000 1
Pb1 Pb 0.0000 0.0000 0.5000 1
O1 O 0.0222 0.5126 0.7445 1
```


For Rb2Zn2PbO6, a PBE-relaxed structure gives the simulated powder X-ray diffraction pattern in this record (a wavelength of 1.5418 Å).

Most intense lines, 2θ = 10–90°, low angle first:
| d/Å | I/Imax | hkl |
| --- | --- | --- |
| 6.654 | 49 | 0 0 1 |
| 3.911 | 78 | 1 0 1 |
| 3.327 | 42 | 0 0 2 |
| 2.792 | 79 | 1 1 0 |
| 2.272 | 20 | 2 0 1 |
| 2.138 | 100 | 1 1 2 |
| 1.612 | 24 | 3 0 0 |
| 1.450 | 22 | 3 0 2 |
| 1.429 | 27 | 2 -1 4 |
| 1.287 | 19 | 4 -2 2 |

Cell and atoms:
```
data_Rb2Zn2PbO6
_chemical_formula_sum 'Rb2 Zn2 Pb1 O6'
_space_group_name_H-M_alt 'P -3 1 m'
_space_group_IT_number 162
_space_group_name_Hall '-P 3 2'
_cell_length_a 5.5832
_cell_length_b 5.5832
_cell_length_c 6.6539
_cell_angle_alpha 90.00
_cell_angle_beta 90.00
_cell_angle_gamma 120.00
loop_
_atom_site_label
_atom_site_type_symbol
_atom_site_fract_x
_atom_site_fract_y
_atom_site_fract_z
_atom_site_occupancy
Rb1 Rb 0.3333 0.6667 0.0000 1
Zn1 Zn 0.3333 0.6667 0.5000 1
Pb1 Pb 0.0000 0.0000 0.5000 1
O1 O 0.0000 0.3472 0.3356 1
```


For Re8Pb8O27, a PBE-relaxed structure gives the simulated powder X-ray diffraction pattern in this record (a wavelength of 1.5418 Å).

Most intense lines, 2θ = 10–90°, low angle first:
| d/Å | I/Imax | hkl |
| --- | --- | --- |
| 3.065 | 100 | 2 0 2 |
| 2.668 | 13 | 0 0 4 |
| 2.647 | 28 | 2 2 0 |
| 1.879 | 26 | 2 2 4 |
| 1.872 | 14 | 4 0 0 |
| 1.607 | 13 | 2 0 6 |
| 1.597 | 30 | 4 2 2 |
| 1.532 | 12 | 4 0 4 |
| 1.219 | 10 | 4 2 6 |
| 1.215 | 6 | 6 0 2 |

Cell and atoms:
```
data_Re8Pb8O27
_chemical_formula_sum 'Re8 Pb8 O27'
_space_group_name_H-M_alt 'P -4 m 2'
_space_group_IT_number 115
_cell_length_a 7.487
_cell_length_b 7.487
_cell_length_c 10.672
_cell_angle_alpha 90.00
_cell_angle_beta 90.00
_cell_angle_gamma 90.00
loop_
_space_group_symop_operation_xyz
'x,y,z'
'y,-x,-z'
'-x,-y,z'
'-y,x,-z'
'-x,y,z'
'-y,-x,-z'
'x,-y,z'
'y,x,-z'
loop_
_atom_site_label
_atom_site_type_symbol
_atom_site_fract_x
_atom_site_fract_y
_atom_site_fract_z
_atom_site_occupancy
Re1 Re 0.000 0.246 0.130 1
Re2 Re 0.253 0.500 0.372 1
Pb1 Pb 0.000 0.261 0.616 1
Pb2 Pb 0.241 0.500 0.896 1
O1 O 0.000 0.000 0.176 1
O2 O 0.000 0.000 0.500 1
O3 O 0.000 0.500 0.050 1
O4 O 0.000 0.500 0.452 1
O5 O 0.000 0.500 0.782 1
O6 O 0.179 0.321 0.250 1
O7 O 0.194 0.194 0.000 1
O8 O 0.305 0.305 0.500 1
O9 O 0.500 0.500 0.326 1
```


For Re3PbO12, a PBE-relaxed structure gives the simulated powder X-ray diffraction pattern in this record (a wavelength of 1.5418 Å).

Most intense lines, 2θ = 10–90°, low angle first:
| d/Å | I/Imax | hkl |
| --- | --- | --- |
| 7.092 | 50 | 0 1 2 |
| 5.564 | 12 | 1 0 4 |
| 5.182 | 21 | 0 0 6 |
| 4.205 | 100 | 1 1 3 |
| 3.546 | 16 | 0 2 4 |
| 3.441 | 58 | 1 1 6 |
| 2.763 | 29 | 1 1 9 |
| 2.656 | 25 | 3 0 0 |
| 2.103 | 12 | 2 2 6 |
| 1.855 | 23 | 3 0 12 |

Cell and atoms:
```
data_Re3PbO12
_chemical_formula_sum 'Re18 Pb6 O72'
_space_group_name_H-M_alt 'R 3 c'
_space_group_IT_number 161
_space_group_name_Hall 'R 3 -2"c'
_cell_length_a 9.2023
_cell_length_b 9.2023
_cell_length_c 31.0900
_cell_angle_alpha 90.00
_cell_angle_beta 90.00
_cell_angle_gamma 120.00
loop_
_atom_site_label
_atom_site_type_symbol
_atom_site_fract_x
_atom_site_fract_y
_atom_site_fract_z
_atom_site_occupancy
Re1 Re 0.0351 0.3591 0.0000 1
Pb1 Pb 0.0000 0.0000 0.4216 1
O1 O 0.0655 0.5314 0.4718 1
O2 O 0.0837 0.2312 0.9667 1
O3 O 0.0850 0.5057 0.3489 1
O4 O 0.1654 0.4231 0.0469 1
```


For Re6Pb4O19, a PBE-relaxed structure gives the simulated powder X-ray diffraction pattern in this record (a wavelength of 1.5418 Å).

Most intense lines, 2θ = 10–90°, low angle first:
| d/Å | I/Imax | hkl |
| --- | --- | --- |
| 4.687 | 25 | 2 0 0 |
| 3.827 | 52 | 2 1 1 |
| 2.964 | 100 | 3 0 1 |
| 2.706 | 17 | 2 2 2 |
| 2.505 | 49 | 3 1 2 |
| 1.914 | 13 | 4 2 2 |
| 1.838 | 63 | 4 3 1 |
| 1.712 | 24 | 5 1 2 |
| 1.562 | 27 | 6 0 0 |
| 1.382 | 12 | 6 1 3 |

Cell and atoms:
```
data_Re6Pb4O19
_chemical_formula_sum 'Re12 Pb8 O38'
_space_group_name_H-M_alt 'I 2 3'
_space_group_IT_number 197
_space_group_name_Hall 'I 2 2 3'
_cell_length_a 9.375
_cell_length_b 9.375
_cell_length_c 9.375
_cell_angle_alpha 90.00
_cell_angle_beta 90.00
_cell_angle_gamma 90.00
loop_
_atom_site_label
_atom_site_type_symbol
_atom_site_fract_x
_atom_site_fract_y
_atom_site_fract_z
_atom_site_occupancy
Re1 Re 0.000 0.139 0.500 1
Pb1 Pb 0.146 0.146 0.146 1
O1 O 0.000 0.000 0.000 1
O2 O 0.000 0.000 0.333 1
O3 O 0.003 0.294 0.638 1
```


For RePb3O6, a PBE-relaxed structure gives the simulated powder X-ray diffraction pattern in this record (a wavelength of 1.5418 Å).

Most intense lines, 2θ = 10–90°, low angle first:
| d/Å | I/Imax | hkl |
| --- | --- | --- |
| 3.788 | 27 | 0 0 3 |
| 3.479 | 33 | 2 0 2 |
| 3.193 | 100 | 2 1 1 |
| 3.037 | 46 | 1 1 3 |
| 2.871 | 83 | 3 -2 2 |
| 2.160 | 28 | 2 1 4 |
| 1.921 | 31 | 1 4 0 |
| 1.775 | 19 | 2 -1 6 |
| 1.646 | 20 | 6 -4 1 |
| 1.596 | 19 | 4 2 2 |

Cell and atoms:
```
data_RePb3O6
_chemical_formula_sum 'Re6 Pb18 O36'
_space_group_name_H-M_alt 'R -3'
_space_group_IT_number 148
_space_group_name_Hall '-R 3'
_cell_length_a 10.1641
_cell_length_b 10.1641
_cell_length_c 11.3638
_cell_angle_alpha 90.00
_cell_angle_beta 90.00
_cell_angle_gamma 120.00
loop_
_atom_site_label
_atom_site_type_symbol
_atom_site_fract_x
_atom_site_fract_y
_atom_site_fract_z
_atom_site_occupancy
Re1 Re 0.0000 0.0000 0.0000 1
Re2 Re 0.0000 0.0000 0.5000 1
Pb1 Pb 0.0368 0.2627 0.2100 1
O1 O 0.0177 0.1624 0.8984 1
O2 O 0.0449 0.1775 0.4048 1
```